Record 1
Calculated powder XRD pattern of LuB4Ru4 for a wavelength of 1.5418 Å, from a crystal structure in Alexandria, relaxed with PBE.

Crystal structure
```
data_LuB4Ru4
_chemical_formula_sum 'Lu8 B32 Ru32'
_cell_length_a 7.4537
_cell_length_b 7.4537
_cell_length_c 15.0190
_cell_angle_alpha 90.00
_cell_angle_beta 90.00
_cell_angle_gamma 90.00
_space_group_name_H-M_alt 'I 41/a c d'
_space_group_IT_number 142
loop_
_space_group_symop_operation_xyz
'x,y,z'
'-x,-y,-z'
'-y+1/4,x+3/4,z+1/4'
'y+1/4,-x+3/4,-z+1/4'
'-x+1/2,-y,z+1/2'
'x+1/2,y,-z+1/2'
'y+1/4,-x+1/4,z+3/4'
'-y+1/4,x+1/4,-z+3/4'
'x,-y,-z+1/2'
'-x,y,z+1/2'
'-y+1/4,-x+1/4,-z+1/4'
'y+1/4,x+1/4,z+1/4'
'-x+1/2,y,-z'
'x+1/2,-y,z'
'y+1/4,x+3/4,-z+3/4'
'-y+1/4,-x+3/4,z+3/4'
'x+1/2,y+1/2,z+1/2'
'-x+1/2,-y+1/2,-z+1/2'
'-y+3/4,x+1/4,z+3/4'
'y+3/4,-x+1/4,-z+3/4'
'-x,-y+1/2,z'
'x,y+1/2,-z'
'y+3/4,-x+3/4,z+1/4'
'-y+3/4,x+3/4,-z+1/4'
'x+1/2,-y+1/2,-z'
'-x+1/2,y+1/2,z'
'-y+3/4,-x+3/4,-z+3/4'
'y+3/4,x+3/4,z+3/4'
'-x,y+1/2,-z+1/2'
'x,-y+1/2,z+1/2'
'y+3/4,x+1/4,-z+1/4'
'-y+3/4,-x+1/4,z+1/4'
loop_
_atom_site_label
_atom_site_fract_x
_atom_site_fract_y
_atom_site_fract_z
Lu1 0.0000 0.2500 0.1250
B1 0.1384 0.0813 0.2935
Ru1 0.1150 0.0996 0.4368
```

Principal peaks in the range 2θ = 10–80°, sorted by position:
- 23.7 deg, I = 11.6, hkl 0 0 4
- 23.9 deg, I = 12.4, hkl 2 0 0
- 32.3 deg, I = 55.2, hkl 2 1 3
- 33.9 deg, I = 22.3, hkl 2 0 4
- 39.9 deg, I = 42.8, hkl 1 1 6
- 40.1 deg, I = 100.0, hkl 3 1 2
- 40.4 deg, I = 33.6, hkl 2 1 5
- 41.9 deg, I = 11.7, hkl 2 2 4
- 55.1 deg, I = 14.3, hkl 4 2 0
- 64.8 deg, I = 12.9, hkl 3 3 6
- 65.0 deg, I = 13.1, hkl 5 1 2
- 71.3 deg, I = 24.0, hkl 4 0 8

Record 2
Calculated powder XRD pattern of Ho5Tm4Mg2 for a wavelength of 1.5418 Å, from a crystal structure in Alexandria, relaxed with PBE.

Crystal structure
```
data_Ho5Tm4Mg2
_chemical_formula_sum 'Ho5 Tm4 Mg2'
_cell_length_a 3.4573
_cell_length_b 8.0412
_cell_length_c 11.9169
_cell_angle_alpha 90.43
_cell_angle_beta 90.02
_cell_angle_gamma 102.35
_space_group_name_H-M_alt 'P -1'
_space_group_IT_number 2
_space_group_name_Hall '-P 1'
loop_
_atom_site_label
_atom_site_fract_x
_atom_site_fract_y
_atom_site_fract_z
Ho1 0.0000 0.0000 0.0000
Ho2 0.2563 0.5116 0.6281
Ho3 0.3176 0.6345 0.9012
Tm1 0.0533 0.1063 0.2942
Tm2 0.3687 0.7382 0.1831
Mg1 0.4119 0.8258 0.4564
```

Principal peaks in the range 2θ = 10–80°, sorted by position:
- 31.0 deg, I = 61.8, hkl 1 1 0
- 31.9 deg, I = 100.0, hkl 1 -2 1
- 32.0 deg, I = 69.6, hkl 0 1 -4
- 32.2 deg, I = 61.6, hkl 0 2 3
- 34.9 deg, I = 84.2, hkl -1 1 3
- 35.0 deg, I = 53.0, hkl 0 3 -1
- 40.4 deg, I = 21.4, hkl 1 0 4
- 51.0 deg, I = 36.1, hkl -1 4 2
- 60.9 deg, I = 28.3, hkl 0 4 -5
- 61.4 deg, I = 23.9, hkl 1 -5 2
- 61.6 deg, I = 20.9, hkl -1 3 6
- 63.3 deg, I = 29.2, hkl 2 0 -4

Record 3
Calculated powder XRD pattern of Nd2Y5Tm6 for a wavelength of 1.5418 Å, from a crystal structure in Alexandria, relaxed with PBE.

Crystal structure
```
data_Nd2Y5Tm6
_chemical_formula_sum 'Nd4 Y10 Tm12'
_cell_length_a 11.6267
_cell_length_b 20.2130
_cell_length_c 3.5721
_cell_angle_alpha 90.00
_cell_angle_beta 90.00
_cell_angle_gamma 90.00
_space_group_name_H-M_alt 'P b a m'
_space_group_IT_number 55
_space_group_name_Hall '-P 2 2ab'
loop_
_atom_site_label
_atom_site_fract_x
_atom_site_fract_y
_atom_site_fract_z
Nd1 0.1682 0.2166 0.0000
Y1 0.0000 0.5000 0.5000
Y2 0.0914 0.7790 0.5000
Y3 0.1994 0.0526 0.5000
Tm1 0.0617 0.9233 0.0000
Tm2 0.0778 0.6354 0.0000
Tm3 0.1783 0.3725 0.5000
```

Principal peaks in the range 2θ = 10–80°, sorted by position:
- 27.6 deg, I = 36.6, hkl 1 6 0
- 29.3 deg, I = 21.0, hkl 2 0 1
- 31.1 deg, I = 62.8, hkl 4 1 0
- 31.6 deg, I = 38.1, hkl 1 4 1
- 31.9 deg, I = 85.7, hkl 1 7 0
- 32.3 deg, I = 100.0, hkl 2 3 1
- 34.4 deg, I = 40.5, hkl 2 4 1
- 35.3 deg, I = 21.8, hkl 3 6 0
- 36.7 deg, I = 29.2, hkl 3 3 1
- 51.1 deg, I = 21.0, hkl 0 0 2
- 57.0 deg, I = 22.2, hkl 6 4 1
- 61.6 deg, I = 32.8, hkl 1 7 2

Record 4
Calculated powder XRD pattern of KSb4Pb6 for a wavelength of 1.5418 Å, from a crystal structure in Alexandria, relaxed with PBE.

Crystal structure
```
data_KSb4Pb6
_chemical_formula_sum 'K1 Sb4 Pb6'
_cell_length_a 9.6676
_cell_length_b 9.6676
_cell_length_c 4.6549
_cell_angle_alpha 90.00
_cell_angle_beta 90.00
_cell_angle_gamma 120.00
_space_group_name_H-M_alt 'P -6 m 2'
_space_group_IT_number 187
_space_group_name_Hall 'P -6 2'
loop_
_atom_site_label
_atom_site_fract_x
_atom_site_fract_y
_atom_site_fract_z
K1 0.0000 0.0000 0.0000
Sb1 0.3333 0.6667 0.0000
Sb2 0.3557 0.1779 0.5000
Pb1 0.1939 0.3879 0.5000
Pb2 0.5463 0.0925 0.0000
```

Principal peaks in the range 2θ = 10–80°, sorted by position:
- 10.6 deg, I = 29.1, hkl 1 0 0
- 21.8 deg, I = 31.0, hkl 1 0 1
- 26.6 deg, I = 21.3, hkl 1 1 1
- 28.2 deg, I = 29.9, hkl 2 1 0
- 28.7 deg, I = 100.0, hkl 2 0 1
- 32.1 deg, I = 42.2, hkl 3 0 0
- 34.3 deg, I = 90.2, hkl 2 1 1
- 37.2 deg, I = 35.5, hkl 2 2 0
- 38.7 deg, I = 30.9, hkl 0 0 2
- 51.1 deg, I = 23.7, hkl 3 0 2
- 54.8 deg, I = 29.1, hkl 2 2 2
- 58.6 deg, I = 26.1, hkl 5 0 1

Record 5
Calculated powder XRD pattern of LiTa3O8 for a wavelength of 1.5418 Å, from a crystal structure in Alexandria, relaxed with PBE.

Crystal structure
```
data_LiTa3O8
_chemical_formula_sum 'Li4 Ta12 O32'
_cell_length_a 17.1005
_cell_length_b 3.9218
_cell_length_c 9.0653
_cell_angle_alpha 90.00
_cell_angle_beta 90.00
_cell_angle_gamma 90.00
_space_group_name_H-M_alt 'P m m a'
_space_group_IT_number 51
_space_group_name_Hall '-P 2a 2a'
loop_
_atom_site_label
_atom_site_fract_x
_atom_site_fract_y
_atom_site_fract_z
Li1 0.1365 0.0000 0.1548
Ta1 0.0585 0.5000 0.8131
Ta2 0.1311 0.5000 0.3982
Ta3 0.2500 0.5000 0.0420
Ta4 0.2500 0.5000 0.6800
O1 0.0000 0.5000 0.0000
O2 0.0234 0.5000 0.3314
O3 0.0640 0.0000 0.8269
O4 0.1302 0.5000 0.6134
O5 0.1340 0.0000 0.3755
O6 0.1619 0.5000 0.1778
O7 0.1765 0.5000 0.8678
O8 0.2500 0.0000 0.0584
O9 0.2500 0.0000 0.6824
O10 0.2500 0.5000 0.4502
```

Principal peaks in the range 2θ = 10–80°, sorted by position:
- 22.7 deg, I = 100.0, hkl 0 1 0
- 23.0 deg, I = 26.4, hkl 4 0 1
- 25.1 deg, I = 60.6, hkl 3 0 2
- 27.9 deg, I = 38.9, hkl 5 0 1
- 30.0 deg, I = 17.5, hkl 1 0 3
- 31.4 deg, I = 24.7, hkl 2 0 3
- 32.5 deg, I = 16.7, hkl 4 1 1
- 34.1 deg, I = 36.8, hkl 3 1 2
- 36.2 deg, I = 25.0, hkl 5 1 1
- 39.1 deg, I = 18.6, hkl 2 1 3
- 46.3 deg, I = 22.7, hkl 0 2 0
- 53.4 deg, I = 15.3, hkl 3 2 2

Record 6
Calculated powder XRD pattern of Pm3GaAu4 for a wavelength of 1.5418 Å, from a crystal structure in Alexandria, relaxed with PBE.

Crystal structure
```
data_Pm3GaAu4
_chemical_formula_sum 'Pm6 Ga2 Au8'
_cell_length_a 4.0441
_cell_length_b 7.2988
_cell_length_c 13.9362
_cell_angle_alpha 90.00
_cell_angle_beta 90.00
_cell_angle_gamma 90.00
_space_group_name_H-M_alt 'I m m m'
_space_group_IT_number 71
_space_group_name_Hall '-I 2 2'
loop_
_atom_site_label
_atom_site_fract_x
_atom_site_fract_y
_atom_site_fract_z
Pm1 0.0000 0.0000 0.0000
Pm2 0.0000 0.5000 0.1800
Ga1 0.0000 0.0000 0.5000
Au1 0.0000 0.2991 0.3704
```

Principal peaks in the range 2θ = 10–80°, sorted by position:
- 22.9 deg, I = 37.1, hkl 1 0 1
- 25.6 deg, I = 46.6, hkl 0 0 4
- 28.3 deg, I = 68.1, hkl 1 1 2
- 33.7 deg, I = 100.0, hkl 1 2 1
- 35.6 deg, I = 68.2, hkl 0 2 4
- 36.2 deg, I = 53.1, hkl 1 1 4
- 38.5 deg, I = 84.8, hkl 1 2 3
- 39.3 deg, I = 49.5, hkl 1 0 5
- 41.9 deg, I = 47.5, hkl 0 3 3
- 44.8 deg, I = 47.2, hkl 2 0 0
- 58.5 deg, I = 32.9, hkl 2 2 4
- 70.4 deg, I = 35.7, hkl 1 3 8

Record 7
Calculated powder XRD pattern of Ag5Pd7 for a wavelength of 1.5418 Å, from a crystal structure in Alexandria, relaxed with PBE.

Crystal structure
```
data_Ag5Pd7
_chemical_formula_sum 'Ag5 Pd7'
_cell_length_a 2.8393
_cell_length_b 8.5161
_cell_length_c 8.0969
_cell_angle_alpha 90.00
_cell_angle_beta 90.00
_cell_angle_gamma 90.00
_space_group_name_H-M_alt 'P m m 2'
_space_group_IT_number 25
_space_group_name_Hall 'P 2 -2'
loop_
_atom_site_label
_atom_site_fract_x
_atom_site_fract_y
_atom_site_fract_z
Ag1 0.0000 0.0000 0.0000
Ag2 0.0000 0.3359 0.5069
Ag3 0.5000 0.1673 0.2562
Pd1 0.0000 0.0000 0.5135
Pd2 0.0000 0.3335 0.0024
Pd3 0.5000 0.1687 0.7555
Pd4 0.5000 0.5000 0.2461
Pd5 0.5000 0.5000 0.7610
```

Principal peaks in the range 2θ = 10–80°, sorted by position:
- 38.7 deg, I = 100.0, hkl 1 0 2
- 44.8 deg, I = 16.2, hkl 0 0 4
- 45.2 deg, I = 32.0, hkl 1 3 0
- 65.5 deg, I = 20.1, hkl 1 3 4
- 65.8 deg, I = 10.0, hkl 2 0 0
- 78.5 deg, I = 11.7, hkl 1 0 6
- 79.0 deg, I = 23.5, hkl 2 3 2

Record 8
Calculated powder XRD pattern of Pr8P3RhI4 for a wavelength of 1.5418 Å, from a crystal structure in Alexandria, relaxed with PBE.

Crystal structure
```
data_Pr8P3RhI4
_chemical_formula_sum 'Pr24 P9 Rh3 I12'
_cell_length_a 8.5557
_cell_length_b 8.5557
_cell_length_c 23.2541
_cell_angle_alpha 90.00
_cell_angle_beta 90.00
_cell_angle_gamma 120.00
_space_group_name_H-M_alt 'R -3 m'
_space_group_IT_number 166
_space_group_name_Hall '-R 3 2"'
loop_
_atom_site_label
_atom_site_fract_x
_atom_site_fract_y
_atom_site_fract_z
Pr1 0.0000 0.0000 0.2307
Pr2 0.0041 0.5021 0.2303
P1 0.0000 0.5000 0.5000
Rh1 0.0000 0.0000 0.5000
I1 0.0000 0.0000 0.0000
I2 0.0000 0.5000 0.0000
```

Principal peaks in the range 2θ = 10–80°, sorted by position:
- 24.3 deg, I = 10.0, hkl 0 2 1
- 28.6 deg, I = 100.0, hkl 0 2 4
- 30.9 deg, I = 25.9, hkl 2 0 5
- 34.7 deg, I = 12.0, hkl 0 0 9
- 39.4 deg, I = 25.4, hkl 2 0 8
- 42.3 deg, I = 40.1, hkl 2 2 0
- 51.8 deg, I = 18.8, hkl 4 0 4
- 55.8 deg, I = 18.4, hkl 2 2 9
- 57.2 deg, I = 10.1, hkl 0 2 13
- 59.1 deg, I = 7.6, hkl 0 4 8
- 69.0 deg, I = 15.7, hkl 2 4 4
- 75.3 deg, I = 7.4, hkl 4 2 8